The following is a computed powder X-ray diffraction pattern of K3Ge4Au. It was derived from a structure optimized by DFT (GGA-PBE), using Cu Kα.
Kinematic intensities with the Lorentz-polarization factor, no thermal factor.

Main lines, by angle (10° ≤ 2θ ≤ 90°):
(0 2 0), 14.62°, intensity 64; (1 1 0), 15.15°, intensity 100; (0 3 1), 26.35°, intensity 18; (2 0 0), 26.69°, intensity 18; (2 0 1), 30.42°, intensity 15; (1 1 2), 32.74°, intensity 14; (2 2 1), 33.90°, intensity 25; (1 4 1), 35.63°, intensity 34; (2 3 1), 37.86°, intensity 28; (3 4 1), 53.15°, intensity 14

Unit cell a=6.679 b=12.120 c=6.189 alpha=90.00 beta=90.00 gamma=90.00
Atoms (fractional coordinates):
K 0.250 0.013 0.169
K 0.250 0.250 0.577
K 0.250 0.487 0.169
K 0.750 0.513 0.831
K 0.750 0.750 0.423
K 0.750 0.987 0.831
Ge 0.042 0.750 0.942
Ge 0.250 0.635 0.673
Ge 0.250 0.865 0.673
Ge 0.458 0.750 0.942
Ge 0.542 0.250 0.058
Ge 0.750 0.135 0.327
Ge 0.750 0.365 0.327
Ge 0.958 0.250 0.058
Au 0.250 0.750 0.309
Au 0.750 0.250 0.691